Starting from a DFT-relaxed cell (GGA+U, Alexandria), the X-ray diffraction stick pattern of Li3Mn2Cr2O8 was calculated for Cu Kα.
No peak broadening, texture or thermal motion is included.

The 10 most intense peaks (2θ from 5° to 70°), by angle:
Position (°2θ)	intensity	h k l
18.18	100	1 0 0
18.39	75	0 1 -1
35.58	16	1 -2 0
35.73	15	-2 1 1
36.06	12	1 2 -2
41.91	43	0 0 2
43.39	40	2 -2 0
43.85	39	2 2 -2
61.69	22	2 2 0
63.39	21	4 0 -2

```
data_Li3Mn2Cr2O8
_cell_length_a 5.8674
_cell_length_b 5.8729
_cell_length_c 5.9198
_cell_angle_alpha 119.05
_cell_angle_beta 118.61
_cell_angle_gamma 90.56
_symmetry_space_group_name_H-M 'P -1'
_symmetry_Int_Tables_number 2
loop_
_symmetry_equiv_pos_as_xyz
'x,y,z'
'-x,-y,-z'
loop_
_atom_site_label
_atom_site_type_symbol
_atom_site_fract_x
_atom_site_fract_y
_atom_site_fract_z
Li1 Li 0.0000 0.0000 0.0000
Li2 Li 0.0000 0.5000 0.0000
Li3 Li 0.5000 0.0000 0.5000
Mn1 Mn 0.0000 0.5000 0.5000
Mn2 Mn 0.5000 0.5000 0.0000
Cr1 Cr 0.5000 0.0000 0.0000
Cr2 Cr 0.5000 0.5000 0.5000
O1 O 0.2615 0.7385 0.5289
O2 O 0.2681 0.2905 0.5421
O3 O 0.2789 0.7496 0.0179
O4 O 0.2857 0.2726 0.0338
```